The following is a computed powder X-ray diffraction pattern of CaHfOs2. It was derived from a DFT-relaxed cell (GGA-PBE, Alexandria), using Cu Kα.
Lines closer than 0.1° are merged.

Main lines, sorted by position (2θ = 5–70°):
- 16.78 deg, intensity 32, hkl 0 1 0
- 19.03 deg, intensity 100, hkl 0 1 -1
- 31.95 deg, intensity 30, hkl 0 2 -1
- 33.57 deg, intensity 30, hkl 1 1 -2
- 33.95 deg, intensity 41, hkl 0 2 0
- 35.65 deg, intensity 38, hkl 2 -1 0
- 36.58 deg, intensity 32, hkl 1 1 1
- 38.44 deg, intensity 51, hkl -2 1 1
- 39.25 deg, intensity 63, hkl 1 -1 2
- 41.20 deg, intensity 98, hkl 2 1 0
- 42.07 deg, intensity 35, hkl 2 0 -2
- 43.53 deg, intensity 48, hkl 0 2 1

```
data_CaHfOs2
_chemical_formula_sum 'Ca2 Hf2 Os4'
_space_group_name_H-M_alt 'P -1'
_space_group_IT_number 2
_space_group_name_Hall '-P 1'
_cell_length_a 5.4171
_cell_length_b 5.6890
_cell_length_c 5.7741
_cell_angle_alpha 109.37
_cell_angle_beta 102.16
_cell_angle_gamma 95.17
loop_
_atom_site_label
_atom_site_fract_x
_atom_site_fract_y
_atom_site_fract_z
Ca1 0.2067 0.3329 0.3557
Hf1 0.3526 0.7424 0.0029
Os1 0.0839 0.2639 0.8096
Os2 0.3062 0.9308 0.5679
```